Computed XRD peak list
Compound: Eu2Ni2O5
Radiation: Cu Ka
Structure: a PBE+U-relaxed structure
No peak broadening, texture or thermal motion is included.

a = 5.311 Å, b = 5.595 Å, c = 8.685 Å
α = 71.22°, β = 72.23°, γ = 89.98°
Space group P1 (No. 1)
One atom of each set of equivalent atoms:
Eu 0.000 0.000 0.000 x1
Eu 0.223 0.259 0.559 x1
Eu 0.499 0.538 0.001 x1
Eu 0.723 0.720 0.560 x1
Ni 0.120 0.630 0.780 x1
Ni 0.325 0.941 0.280 x1
Ni 0.620 0.129 0.780 x1
Ni 0.825 0.318 0.280 x1
O 0.004 0.557 0.050 x1
O 0.274 0.703 0.510 x1
O 0.350 0.358 0.809 x1
O 0.384 0.894 0.752 x1
O 0.448 0.278 0.280 x1
O 0.506 0.932 0.050 x1
O 0.773 0.327 0.510 x1
O 0.852 0.371 0.807 x1
O 0.884 0.892 0.751 x1
O 0.947 0.981 0.280 x1

Largest 8 diffraction maxima, by intensity, 2θ = 15–90°:
d = 2.738 Å, 32.7°, intensity 100.0, (1 1 -1)
d = 2.655 Å, 33.8°, intensity 32.5, (2 0 1)
d = 2.797 Å, 32.0°, intensity 32.2, (0 2 1)
d = 1.926 Å, 47.2°, intensity 27.4, (2 2 2)
d = 3.852 Å, 23.1°, intensity 21.7, (1 1 1)
d = 1.548 Å, 59.7°, intensity 18.6, (3 1 0)
d = 1.603 Å, 57.5°, intensity 17.8, (1 3 0)
d = 2.152 Å, 42.0°, intensity 13.4, (1 1 4)